[1]
Starting from a crystal structure in the Materials Project, relaxed with GGA-PBE, the powder diffraction line list of Ba3Bi2F12 was calculated for Cu Kα X-rays.
Lines closer than 0.1° are merged.

Crystal structure
Unit cell a=4.404 b=4.453 c=17.842 alpha=91.41 beta=95.01 gamma=119.11
Fractional positions:
1 Ba 0.000 0.000 0.000
2 Ba 0.191 0.581 0.794
3 Ba 0.766 0.412 0.205
4 Bi 0.486 0.320 0.610
5 Bi 0.548 0.906 0.409
6 F 0.043 0.448 0.641
7 F 0.074 0.058 0.156
8 F 0.121 0.069 0.415
9 F 0.299 0.643 0.950
10 F 0.453 0.763 0.266
11 F 0.478 0.206 0.740
12 F 0.501 0.730 0.535
13 F 0.698 0.358 0.053
14 F 0.740 0.792 0.680
15 F 0.759 0.339 0.495
16 F 0.767 0.388 0.351
17 F 0.892 0.935 0.851

Largest 10 diffraction maxima, most intense first, 10° ≤ 2θ ≤ 90°:
2θ/deg  Rel. int.
24.3  1000
25.1  864
41.0  405
28.3  230
48.3  219
28.5  215
29.1  206
40.7  177
42.1  155
40.5  150

[2]
Starting from a crystal structure in the Materials Project, relaxed with GGA-PBE, the powder diffraction line list of HoSi2Rh2 was calculated for Cu Kα X-rays.
Lines closer than 0.1° are merged.

Crystal structure
Unit cell a=5.754 b=5.754 c=5.754 alpha=138.66 beta=138.66 gamma=59.89
Fractional positions:
1 Ho 0.000 0.000 0.000
2 Si 0.379 0.379 0.000
3 Si 0.621 0.621 0.000
4 Rh 0.250 0.750 0.500
5 Rh 0.750 0.250 0.500

Largest 10 diffraction maxima, most intense first, 10° ≤ 2θ ≤ 90°:
2θ/deg  Rel. int.
36.1  1000
44.6  304
34.9  263
76.6  252
23.7  250
51.1  162
58.6  147
64.8  143
57.9  122
64.9  98

[3]
Starting from a crystal structure in the Materials Project, relaxed with GGA-PBE, the powder diffraction line list of Eu3Sn was calculated for Cu Kα X-rays.
Lines closer than 0.1° are merged.

Crystal structure
Unit cell a=7.456 b=7.456 c=5.899 alpha=90.00 beta=90.00 gamma=120.00
Fractional positions:
1 Eu 0.175 0.350 0.250
2 Eu 0.175 0.825 0.250
3 Eu 0.350 0.175 0.750
4 Eu 0.650 0.825 0.250
5 Eu 0.825 0.175 0.750
6 Eu 0.825 0.650 0.750
7 Sn 0.333 0.667 0.750
8 Sn 0.667 0.333 0.250

Largest 10 diffraction maxima, most intense first, 10° ≤ 2θ ≤ 90°:
2θ/deg  Rel. int.
31.6  1000
30.3  252
27.6  235
58.6  223
54.6  213
48.9  191
41.5  159
59.4  159
80.3  129
83.6  84

Repeat the third record exactly.
Starting from a crystal structure in the Materials Project, relaxed with GGA-PBE, the powder diffraction line list of Eu3Sn was calculated for Cu Kα X-rays.
Lines closer than 0.1° are merged.

Crystal structure
Unit cell a=7.456 b=7.456 c=5.899 alpha=90.00 beta=90.00 gamma=120.00
Fractional positions:
1 Eu 0.175 0.350 0.250
2 Eu 0.175 0.825 0.250
3 Eu 0.350 0.175 0.750
4 Eu 0.650 0.825 0.250
5 Eu 0.825 0.175 0.750
6 Eu 0.825 0.650 0.750
7 Sn 0.333 0.667 0.750
8 Sn 0.667 0.333 0.250

Largest 10 diffraction maxima, most intense first, 10° ≤ 2θ ≤ 90°:
2θ/deg  Rel. int.
31.6  1000
30.3  252
27.6  235
58.6  223
54.6  213
48.9  191
41.5  159
59.4  159
80.3  129
83.6  84